This entry pairs a crystal structure of SrGd2Al7Ag2 with its calculated powder X-ray diffraction pattern. Radiation: Cu Kα, 1.54184 Å. Structure: a structure optimized by DFT (GGA-PBE).
Neutral-atom scattering factors, no anomalous dispersion.

Atomic structure:
Unit cell a=9.4575 b=9.4575 c=9.4575 alpha=34.70 beta=34.70 gamma=34.70
Atoms (fractional coordinates):
Sr (0.0000, 0.0000, 0.0000)
Gd (0.1427, 0.1427, 0.1427)
Gd (0.8573, 0.8573, 0.8573)
Al (0.0755, 0.5889, 0.5889)
Al (0.4111, 0.4111, 0.9245)
Al (0.4111, 0.9245, 0.4111)
Al (0.5000, 0.5000, 0.5000)
Al (0.5889, 0.0755, 0.5889)
Al (0.5889, 0.5889, 0.0755)
Al (0.9245, 0.4111, 0.4111)
Ag (0.3359, 0.3359, 0.3359)
Ag (0.6641, 0.6641, 0.6641)

Principal peaks in the range 2θ from 10° to 80°, by angle:
d_spacing  Position (°2θ)  I_rel
4.440  20.00  32
3.939  22.57  36
3.002  29.76  22
2.821  31.72  84
2.381  37.79  100
2.339  38.49  16
2.293  39.29  18
2.220  40.64  14
1.628  56.51  16
1.529  60.56  24
1.502  61.75  22
1.410  66.27  18


This entry pairs a crystal structure of InSnTe4Au3 with its calculated powder X-ray diffraction pattern. Radiation: Cu Kα, 1.54184 Å. Structure: a structure optimized by DFT (GGA-PBE).
Neutral-atom scattering factors, no anomalous dispersion.

Atomic structure:
Unit cell a=6.5467 b=8.2071 c=10.3452 alpha=90.00 beta=103.60 gamma=90.00
Atoms (fractional coordinates):
In (0.2484, 0.2500, 0.4479)
In (0.7516, 0.7500, 0.5521)
Sn (0.2520, 0.7500, 0.1981)
Sn (0.7480, 0.2500, 0.8019)
Te (0.0204, 0.2500, 0.0832)
Te (0.2039, 0.7500, 0.4823)
Te (0.4377, 0.5148, 0.7561)
Te (0.4377, 0.9852, 0.7561)
Te (0.5623, 0.0148, 0.2439)
Te (0.5623, 0.4852, 0.2439)
Te (0.7961, 0.2500, 0.5177)
Te (0.9796, 0.7500, 0.9168)
Au (0.1446, 0.2500, 0.7263)
Au (0.2799, 0.0617, 0.9717)
Au (0.2799, 0.4383, 0.9717)
Au (0.7201, 0.5617, 0.0283)
Au (0.7201, 0.9383, 0.0283)
Au (0.8554, 0.7500, 0.2737)

Principal peaks in the range 2θ from 10° to 80°, by angle:
d_spacing  Position (°2θ)  I_rel
6.358  13.93  53
3.799  23.41  52
3.449  25.83  79
2.842  31.48  50
2.576  34.83  54
2.552  35.16  41
2.514  35.72  50
2.439  36.85  41
2.338  38.50  100
2.219  40.66  54
2.119  42.66  31
2.052  44.14  26


This entry pairs a crystal structure of BeFe2Sb with its calculated powder X-ray diffraction pattern. Radiation: Cu Kα, 1.54184 Å. Structure: a structure optimized by DFT (GGA-PBE).
Neutral-atom scattering factors, no anomalous dispersion.

Atomic structure:
Unit cell a=5.7834 b=5.7834 c=5.7834 alpha=90.00 beta=90.00 gamma=90.00
Atoms (fractional coordinates):
Be (0.0000, 0.0000, 0.0000)
Be (0.0000, 0.0000, 0.5000)
Be (0.0000, 0.5000, 0.0000)
Be (0.5000, 0.0000, 0.0000)
Fe (0.2366, 0.2366, 0.2366)
Fe (0.2366, 0.2366, 0.7634)
Fe (0.2366, 0.7634, 0.2366)
Fe (0.2366, 0.7634, 0.7634)
Fe (0.7634, 0.2366, 0.2366)
Fe (0.7634, 0.2366, 0.7634)
Fe (0.7634, 0.7634, 0.2366)
Fe (0.7634, 0.7634, 0.7634)
Sb (0.0000, 0.5000, 0.5000)
Sb (0.5000, 0.0000, 0.5000)
Sb (0.5000, 0.5000, 0.0000)
Sb (0.5000, 0.5000, 0.5000)

Principal peaks in the range 2θ from 10° to 80°, by angle:
d_spacing  Position (°2θ)  I_rel
5.783  15.32  28
3.339  26.70  15
2.586  34.68  31
2.045  44.30  100
1.928  47.14  12
1.744  52.48  7
1.604  57.45  1
1.446  64.44  15
1.403  66.68  10
1.327  71.05  3
1.262  75.30  6


This entry pairs a crystal structure of Rb2SmSb2Pb with its calculated powder X-ray diffraction pattern. Radiation: Cu Kα, 1.54184 Å. Structure: a structure optimized by DFT (GGA-PBE).
Neutral-atom scattering factors, no anomalous dispersion.

Atomic structure:
Unit cell a=4.6910 b=4.6910 c=14.3272 alpha=90.00 beta=90.00 gamma=120.00
Atoms (fractional coordinates):
Rb (0.0000, 0.0000, 0.0000)
Rb (0.3333, 0.6667, 0.4656)
Sm (0.6667, 0.3333, 0.7345)
Sb (0.0000, 0.0000, 0.6425)
Sb (0.3333, 0.6667, 0.1697)
Pb (0.6667, 0.3333, 0.2689)

Principal peaks in the range 2θ from 10° to 80°, by angle:
d_spacing  Position (°2θ)  I_rel
7.164  12.36  52
3.908  22.75  32
3.534  25.20  100
3.094  28.85  59
2.687  33.35  43
2.345  38.39  79
2.229  40.47  18
2.059  43.99  26
1.962  46.27  15
1.954  46.47  20
1.501  61.79  17
1.354  69.42  17


This entry pairs a crystal structure of Li6Pr2O7 with its calculated powder X-ray diffraction pattern. Radiation: Cu Kα, 1.54184 Å. Structure: a structure optimized by DFT (GGA-PBE).
Neutral-atom scattering factors, no anomalous dispersion.

Atomic structure:
Unit cell a=5.7027 b=5.7846 c=6.2298 alpha=66.97 beta=83.56 gamma=79.00
Atoms (fractional coordinates):
Li (0.0420, 0.2063, 0.4162)
Li (0.3778, 0.6139, 0.3135)
Li (0.4052, 0.7492, 0.8233)
Li (0.5948, 0.2508, 0.1767)
Li (0.6222, 0.3861, 0.6865)
Li (0.9580, 0.7937, 0.5838)
Pr (0.1432, 0.2605, 0.9082)
Pr (0.8568, 0.7395, 0.0918)
O (0.0798, 0.9776, 0.7413)
O (0.2346, 0.4472, 0.1638)
O (0.2959, 0.5989, 0.6175)
O (0.5000, 0.0000, 0.0000)
O (0.7041, 0.4011, 0.3826)
O (0.7654, 0.5528, 0.8362)
O (0.9202, 0.0224, 0.2587)

Principal peaks in the range 2θ from 10° to 80°, by angle:
d_spacing  Position (°2θ)  I_rel
5.728  15.47  100
5.593  15.85  53
4.179  21.26  30
4.087  21.75  67
3.555  25.05  27
3.390  26.29  27
3.047  29.31  26
2.942  30.38  46
2.651  33.81  23
2.419  37.17  29
2.319  38.84  29
2.064  43.87  26


This entry pairs a crystal structure of KNbSi2O7 with its calculated powder X-ray diffraction pattern. Radiation: Cu Kα, 1.54184 Å. Structure: a structure optimized by DFT (GGA-PBE).
Neutral-atom scattering factors, no anomalous dispersion.

Atomic structure:
Unit cell a=8.7991 b=8.7991 c=8.0746 alpha=90.00 beta=90.00 gamma=90.00
Atoms (fractional coordinates):
K (0.1779, 0.3221, 0.0000)
K (0.3221, 0.8221, 0.0000)
K (0.6779, 0.1779, 0.0000)
K (0.8221, 0.6779, 0.0000)
Nb (0.0000, 0.0000, 0.2263)
Nb (0.0000, 0.0000, 0.7300)
Nb (0.5000, 0.5000, 0.2263)
Nb (0.5000, 0.5000, 0.7300)
Si (0.1232, 0.6232, 0.3068)
Si (0.1234, 0.6234, 0.7044)
Si (0.3768, 0.1232, 0.3068)
Si (0.3766, 0.1234, 0.7044)
Si (0.6232, 0.8768, 0.3068)
Si (0.6234, 0.8766, 0.7044)
Si (0.8768, 0.3768, 0.3068)
Si (0.8766, 0.3766, 0.7044)
O (0.0000, 0.0000, 0.0016)
O (0.0000, 0.0000, 0.5045)
O (0.0000, 0.5000, 0.2321)
O (0.0000, 0.5000, 0.7800)
O (0.0771, 0.7874, 0.2357)
O (0.0766, 0.7885, 0.7743)
O (0.1182, 0.6182, 0.5057)
O (0.2115, 0.0766, 0.7743)
O (0.2126, 0.0771, 0.2357)
O (0.2874, 0.5771, 0.2357)
O (0.2885, 0.5766, 0.7743)
O (0.3818, 0.1182, 0.5057)
O (0.4229, 0.2874, 0.2357)
O (0.4234, 0.2885, 0.7743)
O (0.5000, 0.0000, 0.2321)
O (0.5000, 0.0000, 0.7800)
O (0.5000, 0.5000, 0.0016)
O (0.5000, 0.5000, 0.5045)
O (0.5766, 0.7115, 0.7743)
O (0.5771, 0.7126, 0.2357)
O (0.6182, 0.8818, 0.5057)
O (0.7115, 0.4234, 0.7743)
O (0.7126, 0.4229, 0.2357)
O (0.7874, 0.9229, 0.2357)
O (0.7885, 0.9234, 0.7743)
O (0.8818, 0.3818, 0.5057)
O (0.9234, 0.2115, 0.7743)
O (0.9229, 0.2126, 0.2357)

Principal peaks in the range 2θ from 10° to 80°, by angle:
d_spacing  Position (°2θ)  I_rel
6.222  14.24  81
4.400  20.18  92
4.037  22.02  89
3.537  25.18  61
3.387  26.31  51
3.111  28.70  50
2.975  30.04  84
2.818  31.75  59
2.783  32.17  100
2.019  44.90  32
1.968  46.14  47
1.769  51.68  34


This entry pairs a crystal structure of Nd2Ho2CI2BrCl2 with its calculated powder X-ray diffraction pattern. Radiation: Cu Kα, 1.54184 Å. Structure: a structure optimized by DFT (GGA-PBE).
Neutral-atom scattering factors, no anomalous dispersion.

Atomic structure:
Unit cell a=9.1601 b=9.1601 c=8.2462 alpha=101.56 beta=101.56 gamma=24.52
Atoms (fractional coordinates):
Nd (0.1430, 0.1430, 0.0654)
Nd (0.8570, 0.8570, 0.9346)
Ho (0.4971, 0.4971, 0.1973)
Ho (0.5029, 0.5029, 0.8027)
C (0.0000, 0.0000, 0.0000)
I (0.3339, 0.3339, 0.6349)
I (0.6661, 0.6661, 0.3651)
Br (0.0000, 0.0000, 0.5000)
Cl (0.3379, 0.3379, 0.1771)
Cl (0.6621, 0.6621, 0.8229)

Principal peaks in the range 2θ from 10° to 80°, by angle:
d_spacing  Position (°2θ)  I_rel
8.761  10.10  30
8.071  10.96  19
6.655  13.30  27
3.130  28.51  34
2.920  30.61  52
2.893  30.91  46
2.829  31.63  100
2.536  35.39  22
2.435  36.91  26
2.050  44.18  28
2.014  45.01  32
1.945  46.70  20


This entry pairs a crystal structure of ZnSbPbF with its calculated powder X-ray diffraction pattern. Radiation: Cu Kα, 1.54184 Å. Structure: a structure optimized by DFT (GGA-PBE).
Neutral-atom scattering factors, no anomalous dispersion.

Atomic structure:
Unit cell a=7.2747 b=6.6545 c=7.6404 alpha=90.00 beta=90.04 gamma=90.00
Atoms (fractional coordinates):
Zn (0.1739, 0.0000, 0.0896)
Zn (0.3261, 0.9603, 0.5898)
Zn (0.6739, 0.4603, 0.4102)
Zn (0.8261, 0.5000, 0.9104)
Sb (0.0755, 0.1270, 0.3969)
Sb (0.4240, 0.8334, 0.8976)
Sb (0.5760, 0.3334, 0.1024)
Sb (0.9245, 0.6270, 0.6031)
Pb (0.2011, 0.5327, 0.2527)
Pb (0.2989, 0.4280, 0.7529)
Pb (0.7011, 0.9280, 0.2471)
Pb (0.7989, 0.0327, 0.7473)
F (0.0743, 0.3325, 0.9819)
F (0.4260, 0.6272, 0.4819)
F (0.5740, 0.1272, 0.5181)
F (0.9257, 0.8325, 0.0181)

Principal peaks in the range 2θ from 10° to 80°, by angle:
d_spacing  Position (°2θ)  I_rel
4.910  18.07  38
3.327  26.79  34
3.284  27.15  75
3.018  29.60  100
3.014  29.64  75
2.813  31.81  66
2.634  34.03  32
2.454  36.62  41
2.261  39.88  31
1.838  49.59  27
1.780  51.32  42
1.698  54.01  34